Theoretical PXRD pattern of Th3Be6Pd20 for Cu Kα (weighted mean of Kα1 and Kα2), from a cell relaxed with PBE.
Kinematic intensities with the Lorentz-polarization factor, no thermal factor.

Cell and atoms:
Cell lengths 12.097, 12.097, 12.097 Å; angles 90.00, 90.00, 90.00 degrees
Space group Fm-3m (No. 225)
Inequivalent atoms, fractional coordinates:
Th (0.000, 0.000, 0.000) [4 per cell]
Th (0.250, 0.250, 0.250) [8 per cell]
Be (0.000, 0.000, 0.274) [24 per cell]
Pd (0.000, 0.170, 0.170) [48 per cell]
Pd (0.116, 0.116, 0.384) [32 per cell]

The 6 most intense peaks (2θ from 10° to 90°), in order of rising 2θ:
d/Å, 2theta, I (rel.), hkl
2.705, 33.12, 31, 4 2 0
2.469, 36.38, 57, 4 2 2
2.328, 38.68, 100, 3 3 3
2.138, 42.26, 31, 4 4 0
1.426, 65.47, 36, 6 6 0
1.235, 77.28, 21, 8 4 4